# 1
Calculated powder XRD pattern of Ba6La2Ga4O15 for Cu Kα (weighted mean of Kα1 and Kα2), from a crystal structure in the Materials Project, relaxed with GGA-PBE.

Atomic structure:
```
Ba6La2Ga4O15
1.0
6.011 -10.348 0.000
6.011 10.348 0.000
-0.076 0.000 7.204
Ba La Ga O
12 4 8 30
direct
0.000 0.000 0.000
0.000 0.000 0.500
0.043 0.521 0.338
0.171 0.346 0.670
0.173 0.825 0.670
0.334 0.669 0.986
0.346 0.171 0.170
0.521 0.043 0.838
0.653 0.828 0.670
0.669 0.334 0.486
0.825 0.173 0.170
0.828 0.653 0.170
0.479 0.958 0.341
0.480 0.520 0.346
0.520 0.480 0.846
0.958 0.479 0.841
0.176 0.820 0.172
0.181 0.358 0.166
0.331 0.661 0.535
0.358 0.181 0.666
0.644 0.818 0.175
0.661 0.331 0.035
0.818 0.644 0.675
0.820 0.176 0.672
0.066 0.677 0.021
0.070 0.391 0.021
0.091 0.897 0.274
0.099 0.197 0.270
0.173 0.583 0.683
0.197 0.099 0.770
0.257 0.759 0.347
0.260 0.497 0.348
0.325 0.933 0.051
0.331 0.397 0.037
0.391 0.070 0.521
0.397 0.331 0.537
0.414 0.823 0.663
0.417 0.581 0.674
0.497 0.260 0.848
0.505 0.747 0.349
0.581 0.417 0.174
0.583 0.173 0.183
0.604 0.667 0.040
0.607 0.931 0.053
0.667 0.604 0.540
0.677 0.066 0.521
0.747 0.505 0.849
0.759 0.257 0.847
0.808 0.898 0.272
0.823 0.414 0.163
0.897 0.091 0.774
0.898 0.808 0.772
0.931 0.607 0.553
0.933 0.325 0.551
```

Principal peaks in the range 5 to 70 degrees two-theta, by angle:
- 2θ 29.0, I 21
- 2θ 29.7, I 50
- 2θ 29.9, I 100
- 2θ 30.1, I 24
- 2θ 30.3, I 48
- 2θ 36.1, I 31
- 2θ 43.1, I 19
- 2θ 52.8, I 18


# 2
Calculated powder XRD pattern of BaMg6Ga for Cu Kα (weighted mean of Kα1 and Kα2), from a crystal structure in the Materials Project, relaxed with GGA-PBE.

Atomic structure:
```
BaMg6Ga
1.0
5.016 0.000 0.000
0.000 3.068 7.120
0.000 -3.068 7.120
Ba Mg Ga
1 6 1
direct
0.000 0.000 0.000
0.000 0.492 0.973
0.000 0.973 0.492
0.500 0.120 0.610
0.500 0.169 0.169
0.500 0.591 0.591
0.500 0.610 0.120
0.000 0.401 0.401
```

Principal peaks in the range 5 to 70 degrees two-theta, by angle:
- 2θ 12.4, I 59
- 2θ 17.7, I 49
- 2θ 23.7, I 75
- 2θ 29.7, I 98
- 2θ 30.8, I 50
- 2θ 34.7, I 48
- 2θ 36.6, I 100
- 2θ 50.7, I 48


# 3
Calculated powder XRD pattern of BaMg14Ga for Cu Kα (weighted mean of Kα1 and Kα2), from a crystal structure in the Materials Project, relaxed with GGA-PBE.

Atomic structure:
```
BaMg14Ga
1.0
6.569 0.000 0.000
-3.284 5.689 0.000
0.000 0.000 10.599
Ba Mg Ga
1 14 1
direct
0.000 0.000 0.000
0.012 0.506 0.000
0.170 0.340 0.266
0.170 0.340 0.734
0.170 0.830 0.266
0.170 0.830 0.734
0.494 0.506 0.000
0.494 0.988 0.000
0.502 0.005 0.500
0.502 0.498 0.500
0.660 0.830 0.266
0.660 0.830 0.734
0.667 0.333 0.244
0.667 0.333 0.756
0.995 0.498 0.500
0.000 0.000 0.500
```

Principal peaks in the range 5 to 70 degrees two-theta, by angle:
- 2θ 15.6, I 35
- 2θ 22.9, I 32
- 2θ 31.5, I 29
- 2θ 33.8, I 25
- 2θ 35.8, I 100
- 2θ 46.9, I 18
- 2θ 61.8, I 18
- 2θ 67.0, I 19


# 4
Calculated powder XRD pattern of BaMg14Ga for Cu Kα (weighted mean of Kα1 and Kα2), from a crystal structure in the Materials Project, relaxed with GGA-PBE.

Atomic structure:
```
BaMg14Ga
1.0
10.468 0.000 0.000
0.000 3.252 5.798
0.000 -3.252 5.798
Ba Mg Ga
1 14 1
direct
0.000 0.000 0.000
0.000 0.011 0.494
0.000 0.494 0.011
0.234 0.652 0.652
0.263 0.164 0.646
0.263 0.646 0.164
0.268 0.164 0.164
0.500 0.494 0.494
0.500 0.497 0.983
0.500 0.983 0.497
0.500 0.990 0.990
0.732 0.164 0.164
0.737 0.164 0.646
0.737 0.646 0.164
0.766 0.652 0.652
0.000 0.465 0.465
```

Principal peaks in the range 5 to 70 degrees two-theta, by angle:
- 2θ 8.4, I 62
- 2θ 15.3, I 18
- 2θ 17.5, I 27
- 2θ 31.5, I 30
- 2θ 34.3, I 37
- 2θ 35.4, I 51
- 2θ 36.0, I 100
- 2θ 47.3, I 18


# 5
Calculated powder XRD pattern of BaMg6Ga for Cu Kα (weighted mean of Kα1 and Kα2), from a crystal structure in the Materials Project, relaxed with GGA-PBE.

Atomic structure:
```
BaMg6Ga
1.0
5.077 0.000 0.000
0.000 3.541 5.964
0.000 -3.541 5.964
Ba Mg Ga
1 6 1
direct
0.000 0.000 0.000
0.000 0.509 0.509
0.000 0.515 0.987
0.000 0.987 0.515
0.500 0.338 0.338
0.500 0.384 0.817
0.500 0.817 0.384
0.500 0.821 0.821
```

Principal peaks in the range 5 to 70 degrees two-theta, by angle:
- 2θ 14.5, I 68
- 2θ 22.8, I 34
- 2θ 23.0, I 33
- 2θ 29.3, I 27
- 2θ 31.2, I 30
- 2θ 34.3, I 100
- 2θ 34.9, I 47
- 2θ 35.4, I 31


# 6
Calculated powder XRD pattern of Ba3GaN3 for Cu Kα (weighted mean of Kα1 and Kα2), from a crystal structure in the Materials Project, relaxed with GGA-PBE.

Atomic structure:
```
Ba3GaN3
1.0
8.155 0.000 0.000
-4.077 7.062 0.000
0.000 0.000 5.798
Ba Ga N
6 2 6
direct
0.066 0.362 0.250
0.296 0.934 0.250
0.362 0.296 0.750
0.638 0.704 0.250
0.704 0.066 0.750
0.934 0.638 0.750
0.333 0.667 0.750
0.667 0.333 0.250
0.110 0.419 0.750
0.309 0.890 0.750
0.419 0.309 0.250
0.581 0.691 0.750
0.691 0.110 0.250
0.890 0.581 0.250
```

Principal peaks in the range 5 to 70 degrees two-theta, by angle:
- 2θ 26.7, I 100
- 2θ 29.6, I 42
- 2θ 30.8, I 41
- 2θ 33.6, I 31
- 2θ 38.2, I 29
- 2θ 46.2, I 24
- 2θ 49.9, I 27
- 2θ 59.2, I 19


# 7
Calculated powder XRD pattern of Ba5NaGa2Sb6 for Cu Kα (weighted mean of Kα1 and Kα2), from a crystal structure in the Materials Project, relaxed with GGA-PBE.

Atomic structure:
```
Ba5NaGa2Sb6
1.0
12.823 0.000 0.000
0.000 10.863 0.000
0.000 0.000 14.455
Ba Na Ga Sb
20 4 8 24
direct
0.079 0.025 0.245
0.079 0.475 0.245
0.165 0.250 0.810
0.171 0.019 0.533
0.171 0.481 0.533
0.329 0.519 0.033
0.329 0.981 0.033
0.335 0.750 0.310
0.421 0.525 0.745
0.421 0.975 0.745
0.579 0.025 0.255
0.579 0.475 0.255
0.665 0.250 0.690
0.671 0.019 0.967
0.671 0.481 0.967
0.829 0.519 0.467
0.829 0.981 0.467
0.835 0.750 0.190
0.921 0.525 0.755
0.921 0.975 0.755
0.000 0.000 0.000
0.000 0.500 0.000
0.500 0.000 0.500
0.500 0.500 0.500
0.092 0.750 0.922
0.191 0.750 0.693
0.309 0.250 0.193
0.408 0.250 0.422
0.592 0.750 0.578
0.691 0.750 0.807
0.809 0.250 0.307
0.908 0.250 0.078
0.008 0.750 0.584
0.044 0.750 0.384
0.123 0.750 0.113
0.141 0.250 0.066
0.174 0.559 0.821
0.174 0.941 0.821
0.326 0.059 0.321
0.326 0.441 0.321
0.359 0.750 0.566
0.377 0.250 0.613
0.456 0.250 0.884
0.492 0.250 0.084
0.508 0.750 0.916
0.544 0.750 0.116
0.623 0.750 0.387
0.641 0.250 0.434
0.674 0.559 0.679
0.674 0.941 0.679
0.826 0.059 0.179
0.826 0.441 0.179
0.859 0.750 0.934
0.877 0.250 0.887
0.956 0.250 0.616
0.992 0.250 0.416
```

Principal peaks in the range 5 to 70 degrees two-theta, by angle:
- 2θ 24.8, I 45
- 2θ 25.6, I 45
- 2θ 27.3, I 100
- 2θ 27.9, I 66
- 2θ 28.4, I 94
- 2θ 28.5, I 67
- 2θ 29.7, I 69
- 2θ 33.0, I 87


# 8
Calculated powder XRD pattern of BaTiNbGaO6 for Cu Kα (weighted mean of Kα1 and Kα2), from a crystal structure in the Materials Project, relaxed with GGA-PBE.

Atomic structure:
```
BaTiNbGaO6
1.0
0.000 4.043 4.043
4.043 0.000 4.043
4.043 4.043 0.000
Ba Ti Nb Ga O
1 1 1 1 6
direct
0.000 0.000 0.000
0.750 0.750 0.750
0.250 0.250 0.250
0.500 0.500 0.500
0.502 0.502 0.998
0.502 0.998 0.502
0.502 0.998 0.998
0.998 0.502 0.502
0.998 0.502 0.998
0.998 0.998 0.502
```

Principal peaks in the range 5 to 70 degrees two-theta, by angle:
- 2θ 19.0, I 13
- 2θ 31.3, I 100
- 2θ 36.9, I 7
- 2θ 38.6, I 10
- 2θ 44.8, I 36
- 2θ 49.1, I 3
- 2θ 55.7, I 39
- 2θ 65.3, I 21


# 9
Calculated powder XRD pattern of BaNdGaO4 for Cu Kα (weighted mean of Kα1 and Kα2), from a crystal structure in the Materials Project, relaxed with GGA-PBE.

Atomic structure:
```
BaNdGaO4
1.0
5.918 0.000 0.000
0.000 7.194 0.000
0.000 0.000 10.022
Ba Nd Ga O
4 4 4 16
direct
0.006 0.077 0.422
0.494 0.923 0.922
0.506 0.423 0.578
0.994 0.577 0.078
0.012 0.247 0.799
0.488 0.753 0.299
0.512 0.253 0.201
0.988 0.747 0.701
0.014 0.533 0.417
0.486 0.467 0.917
0.514 0.967 0.583
0.986 0.033 0.083
0.001 0.900 0.922
0.168 0.747 0.471
0.243 0.446 0.301
0.248 0.988 0.183
0.252 0.012 0.683
0.257 0.554 0.801
0.332 0.253 0.971
0.499 0.100 0.422
0.501 0.600 0.078
0.668 0.753 0.529
0.743 0.054 0.699
0.748 0.512 0.817
0.752 0.488 0.317
0.757 0.946 0.199
0.832 0.247 0.029
0.999 0.400 0.578
```

Principal peaks in the range 5 to 70 degrees two-theta, by angle:
- 2θ 26.4, I 47
- 2θ 29.1, I 22
- 2θ 30.2, I 64
- 2θ 30.4, I 100
- 2θ 30.6, I 30
- 2θ 30.7, I 92
- 2θ 43.5, I 44
- 2θ 54.0, I 25